1.
Starting from a structure optimized by DFT (PBE), the powder X-ray diffraction pattern of U2Pd5Au5 was calculated for Cu Kα (λ = 1.5418 Å).

Main lines, by angle (10° ≤ 2θ ≤ 90°):
2θ = 32.97°, rel. 35
2θ = 38.75°, rel. 50
2θ = 38.91°, rel. 100
2θ = 38.95°, rel. 46
2θ = 40.55°, rel. 40
2θ = 40.79°, rel. 38
2θ = 62.90°, rel. 29
2θ = 69.17°, rel. 36

Structural model:
Lattice parameters (Å, degrees): 9.4281 5.4135 9.4140 90.00 109.15 90.00
Space group Cm (No. 8)
Unique sites:
1 U 0.0000 0.0000 0.0000 [2 per cell]
2 U 0.0006 0.5000 0.5020 [2 per cell]
3 Pd 0.1896 0.0000 0.5627 [2 per cell]
4 Pd 0.3774 0.0000 0.1250 [2 per cell]
5 Pd 0.3777 0.5000 0.6261 [2 per cell]
6 Pd 0.4392 0.0000 0.8125 [2 per cell]
7 Pd 0.4400 0.5000 0.3133 [2 per cell]
8 Au 0.1897 0.2485 0.8107 [4 per cell]
9 Au 0.1900 0.2500 0.3144 [4 per cell]
10 Au 0.1899 0.5000 0.0636 [2 per cell]

***

2.
Starting from a structure optimized by DFT (PBE), the powder X-ray diffraction pattern of Eu2NbSnO6 was calculated for Cu Kα (λ = 1.5418 Å).

Main lines, by angle (10° ≤ 2θ ≤ 90°):
2θ = 30.80°, rel. 100
2θ = 37.96°, rel. 6
2θ = 44.11°, rel. 30
2θ = 54.76°, rel. 41
2θ = 64.15°, rel. 18
2θ = 72.84°, rel. 18
2θ = 81.14°, rel. 6
2θ = 89.26°, rel. 22

Structural model:
Lattice parameters (Å, degrees): 8.2120 8.2120 8.2120 90.00 90.00 90.00
Space group Fm-3m (No. 225)
Unique sites:
1 Eu 0.2500 0.2500 0.2500 [8 per cell]
2 Nb 0.0000 0.0000 0.0000 [4 per cell]
3 Sn 0.0000 0.0000 0.5000 [4 per cell]
4 O 0.0000 0.0000 0.2504 [24 per cell]

***

3.
Starting from a structure optimized by DFT (PBE), the powder X-ray diffraction pattern of BaU2S5 was calculated for Cu Kα (λ = 1.5418 Å).

Main lines, by angle (10° ≤ 2θ ≤ 90°):
2θ = 23.74°, rel. 46
2θ = 25.25°, rel. 40
2θ = 25.38°, rel. 48
2θ = 25.63°, rel. 100
2θ = 25.80°, rel. 34
2θ = 26.04°, rel. 36
2θ = 35.34°, rel. 34
2θ = 42.71°, rel. 35

Structural model:
Lattice parameters (Å, degrees): 8.4690 7.4964 11.7701 90.00 90.57 90.00
Space group P2_1/c (No. 14)
Unique sites:
1 Ba 0.0095 0.0551 0.3318 [4 per cell]
2 U 0.2582 0.5669 0.4918 [4 per cell]
3 U 0.5005 0.0202 0.3178 [4 per cell]
4 S 0.0351 0.1745 0.0704 [4 per cell]
5 S 0.2776 0.6889 0.7144 [4 per cell]
6 S 0.2856 0.1592 0.8125 [4 per cell]
7 S 0.2954 0.5520 0.9977 [4 per cell]
8 S 0.4564 0.1620 0.0985 [4 per cell]

***

4.
Starting from a structure optimized by DFT (PBE), the powder X-ray diffraction pattern of La2Te5 was calculated for Cu Kα (λ = 1.5418 Å).

Main lines, by angle (10° ≤ 2θ ≤ 90°):
2θ = 27.51°, rel. 43
2θ = 29.87°, rel. 100
2θ = 33.40°, rel. 67
2θ = 35.77°, rel. 29
2θ = 40.26°, rel. 59
2θ = 49.45°, rel. 34
2θ = 58.24°, rel. 20
2θ = 66.83°, rel. 19

Structural model:
Lattice parameters (Å, degrees): 4.4824 45.3935 4.4784 90.00 90.00 90.00
Space group Cmcm (No. 63)
Unique sites:
1 La 0.0000 0.0980 0.2500 [4 per cell]
2 La 0.0000 0.3071 0.2500 [4 per cell]
3 Te 0.0000 0.0414 0.7500 [4 per cell]
4 Te 0.0000 0.1735 0.2500 [4 per cell]
5 Te 0.0000 0.2500 0.7500 [4 per cell]
6 Te 0.0000 0.3807 0.2500 [4 per cell]
7 Te 0.0000 0.4581 0.7500 [4 per cell]

***

5.
Starting from a structure optimized by DFT (PBE), the powder X-ray diffraction pattern of Y2O3 was calculated for Cu Kα (λ = 1.5418 Å).

Main lines, by angle (10° ≤ 2θ ≤ 90°):
2θ = 20.32°, rel. 12
2θ = 28.90°, rel. 100
2θ = 33.49°, rel. 26
2θ = 43.09°, rel. 9
2θ = 48.09°, rel. 43
2θ = 57.08°, rel. 29
2θ = 58.48°, rel. 6
2θ = 77.79°, rel. 8

Structural model:
Lattice parameters (Å, degrees): 10.7039 10.7039 10.7039 90.00 90.00 90.00
Space group Ia-3 (No. 206)
Unique sites:
1 Y 0.0000 0.0000 0.0000 [8 per cell]
2 Y 0.0000 0.2500 0.2827 [24 per cell]
3 O 0.0983 0.1410 0.6298 [48 per cell]